Starting from a DFT-relaxed cell (PBE, the Materials Project), the powder diffractogram of Na3LaTiSi2SO12 was simulated for Cu Ka.
No peak broadening, texture or thermal motion is included.

Largest 12 diffraction maxima, in order of rising 2θ, 10 to 80 degrees two-theta:
(hkl)  d [Å]  Rel. int.
1 1 -1  6.772  47
2 0 -2  4.765  100
3 1 -1  4.586  51
2 2 -1  4.047  24
3 1 0  3.932  23
2 2 0  3.860  23
2 2 -2  3.386  23
3 1 -3  3.016  42
4 2 -2  2.954  60
5 1 -1  2.872  37
1 3 1  2.770  49
2 0 2  2.743  26

Crystal structure
```
data_Na3LaTiSi2SO12
_cell_length_a 15.6514
_cell_length_b 9.6270
_cell_length_c 9.5410
_cell_angle_alpha 90.00
_cell_angle_beta 124.38
_cell_angle_gamma 90.00
_space_group_name_H-M_alt 'C 1 c 1'
_space_group_IT_number 9
_space_group_name_Hall 'C -2yc'
loop_
_atom_site_label
_atom_site_type_symbol
_atom_site_fract_x
_atom_site_fract_y
_atom_site_fract_z
_atom_site_occupancy
Na1 Na 0.0000 0.0646 0.0000 1
Na2 Na 0.3681 0.0659 0.7138 1
Na3 Na 0.4459 0.2431 0.1463 1
La1 La 0.0867 0.2654 0.4685 1
Ti1 Ti 0.2698 0.2161 0.2296 1
Si1 Si 0.0187 0.3797 0.0520 1
Si2 Si 0.1788 0.0494 0.8669 1
S1 S 0.3385 0.4260 0.6609 1
O1 O 0.0009 0.3574 0.2006 1
O2 O 0.0061 0.4568 0.5019 1
O3 O 0.1042 0.1500 0.7091 1
O4 O 0.1155 0.0420 0.4182 1
O5 O 0.1360 0.3014 0.1202 1
O6 O 0.2445 0.3697 0.6414 1
O7 O 0.2479 0.0625 0.3251 1
O8 O 0.2680 0.1348 0.0489 1
O9 O 0.3397 0.4199 0.1741 1
O10 O 0.3455 0.3832 0.5200 1
O11 O 0.4243 0.2049 0.3755 1
O12 O 0.4238 0.3665 0.8284 1
```